(1)
The following is a calculated powder diffraction line list of Ga3Pb3Au8. It was derived from DFT lattice parameters and positions (PBE), using λ = 1.5418 Å (Cu Kα).
Peak positions follow from Bragg's law for the DFT cell and can differ from measured ones.

Largest 8 diffraction maxima, sorted by position, 15 to 90 degrees two-theta:
| h k l | Position (°2θ) | I/Imax |
| --- | --- | --- |
| 0 2 1 | 29.3 | 48.1 |
| 0 3 -1 | 32.4 | 26.1 |
| 1 -1 2 | 32.8 | 78.6 |
| 1 0 -3 | 33.2 | 100.0 |
| 1 -3 1 | 34.5 | 44.4 |
| -1 3 1 | 38.2 | 30.4 |
| -2 1 1 | 39.2 | 66.6 |
| 0 2 3 | 48.5 | 22.5 |

Structure:
Cell lengths 4.601, 8.523, 8.850 Å; angles 107.02, 105.05, 102.93 degrees
Space group P-1 (No. 2)
Inequivalent atoms, fractional coordinates:
Ga 0.000 0.000 0.000
Ga 0.138 0.849 0.496
Pb 0.421 0.729 0.146
Pb 0.500 0.500 0.500
Au 0.101 0.460 0.728
Au 0.230 0.338 0.104
Au 0.249 0.072 0.347
Au 0.318 0.849 0.820

=====

(2)
The following is a calculated powder diffraction line list of GaSb2Pb3Au6. It was derived from DFT lattice parameters and positions (PBE), using λ = 1.5418 Å (Cu Kα).
Peak positions follow from Bragg's law for the DFT cell and can differ from measured ones.

Largest 8 diffraction maxima, sorted by position, 15 to 90 degrees two-theta:
| h k l | Position (°2θ) | I/Imax |
| --- | --- | --- |
| 0 1 1 | 19.6 | 23.1 |
| 0 0 3 | 27.7 | 28.1 |
| 1 1 2 | 35.6 | 76.8 |
| 0 2 1 | 36.3 | 100.0 |
| 2 0 2 | 39.8 | 72.3 |
| 0 1 4 | 41.3 | 43.8 |
| 1 2 4 | 61.4 | 27.6 |
| 2 2 0 | 62.8 | 34.2 |

Structure:
Cell lengths 5.9172, 5.9172, 9.6588 Å; angles 90.00, 90.00, 120.00 degrees
Space group P-3m1 (No. 164)
Inequivalent atoms, fractional coordinates:
Ga 0.0000 0.0000 0.0000
Sb 0.3333 0.6667 0.5576
Pb 0.0000 0.0000 0.5000
Pb 0.3333 0.6667 0.0883
Au 0.1665 0.3331 0.7883

=====

(3)
The following is a calculated powder diffraction line list of GaSnPbAu2. It was derived from DFT lattice parameters and positions (PBE), using λ = 1.5418 Å (Cu Kα).
Peak positions follow from Bragg's law for the DFT cell and can differ from measured ones.

Largest 8 diffraction maxima, sorted by position, 15 to 90 degrees two-theta:
| h k l | Position (°2θ) | I/Imax |
| --- | --- | --- |
| 1 1 1 | 25.9 | 80.5 |
| 4 0 -2 | 26.4 | 63.7 |
| 1 1 -2 | 29.7 | 52.3 |
| 3 1 1 | 35.0 | 100.0 |
| 5 1 -1 | 36.3 | 59.7 |
| 6 0 -1 | 36.9 | 45.8 |
| 3 1 -3 | 38.3 | 64.7 |
| 0 2 0 | 40.0 | 76.5 |

Structure:
Cell lengths 14.951, 4.503, 8.299 Å; angles 90.00, 119.14, 90.00 degrees
Space group C2/m (No. 12)
Inequivalent atoms, fractional coordinates:
Ga 0.053 0.000 0.242
Sn 0.126 0.500 0.817
Pb 0.247 0.500 0.318
Au 0.086 0.500 0.441
Au 0.141 0.000 0.030

=====

(4)
The following is a calculated powder diffraction line list of Ga2Pd3Au3. It was derived from DFT lattice parameters and positions (PBE), using λ = 1.5418 Å (Cu Kα).
Peak positions follow from Bragg's law for the DFT cell and can differ from measured ones.

Largest 8 diffraction maxima, sorted by position, 15 to 90 degrees two-theta:
| h k l | Position (°2θ) | I/Imax |
| --- | --- | --- |
| 1 0 1 | 32.8 | 10.3 |
| 2 1 0 | 39.1 | 100.0 |
| 2 0 1 | 41.9 | 20.6 |
| 2 1 1 | 49.6 | 20.3 |
| 0 0 2 | 60.8 | 10.1 |
| 3 1 1 | 62.8 | 9.1 |
| 2 1 2 | 74.6 | 27.4 |
| 5 0 0 | 78.4 | 14.1 |

Structure:
Cell lengths 7.0409, 7.0409, 3.0491 Å; angles 90.00, 90.00, 120.00 degrees
Space group P-62m (No. 189)
Inequivalent atoms, fractional coordinates:
Ga 0.3333 0.6667 0.0000
Pd 0.0000 0.5986 0.5000
Au 0.0000 0.2370 0.0000

=====

(5)
The following is a calculated powder diffraction line list of GaPd3Au4. It was derived from DFT lattice parameters and positions (PBE), using λ = 1.5418 Å (Cu Kα).
Peak positions follow from Bragg's law for the DFT cell and can differ from measured ones.

Largest 8 diffraction maxima, sorted by position, 15 to 90 degrees two-theta:
| h k l | Position (°2θ) | I/Imax |
| --- | --- | --- |
| 4 0 0 | 19.1 | 28.1 |
| 3 1 -1 | 38.1 | 100.0 |
| 8 0 0 | 38.7 | 47.7 |
| 2 0 2 | 38.9 | 47.1 |
| 5 1 1 | 44.1 | 66.1 |
| 6 0 -2 | 45.8 | 29.6 |
| 11 1 -1 | 65.3 | 20.6 |
| 1 1 -3 | 65.6 | 20.3 |

Structure:
Cell lengths 18.656, 2.947, 4.878 Å; angles 90.00, 93.93, 90.00 degrees
Space group C2/m (No. 12)
Inequivalent atoms, fractional coordinates:
Ga 0.000 0.000 0.000
Pd 0.000 0.500 0.500
Pd 0.250 0.000 0.751
Au 0.124 0.500 0.875
Au 0.126 0.000 0.373

=====

(6)
The following is a calculated powder diffraction line list of Ga2Pd7Au. It was derived from DFT lattice parameters and positions (PBE), using λ = 1.5418 Å (Cu Kα).
Peak positions follow from Bragg's law for the DFT cell and can differ from measured ones.

Largest 8 diffraction maxima, sorted by position, 15 to 90 degrees two-theta:
| h k l | Position (°2θ) | I/Imax |
| --- | --- | --- |
| 1 0 3 | 25.6 | 19.3 |
| 1 1 2 | 32.2 | 18.5 |
| 1 1 4 | 36.0 | 22.9 |
| 1 1 6 | 41.6 | 100.0 |
| 2 0 0 | 44.3 | 49.6 |
| 2 2 0 | 64.4 | 15.9 |
| 2 0 12 | 73.9 | 13.8 |
| 3 1 6 | 79.6 | 29.1 |

Structure:
Cell lengths 4.091, 4.091, 19.736 Å; angles 90.00, 90.00, 90.00 degrees
Space group I4/mmm (No. 139)
Inequivalent atoms, fractional coordinates:
Ga 0.000 0.000 0.174
Pd 0.000 0.000 0.000
Pd 0.000 0.500 0.100
Pd 0.000 0.500 0.250
Au 0.000 0.000 0.500

=====

(7)
The following is a calculated powder diffraction line list of Ga8Pd3Au2. It was derived from DFT lattice parameters and positions (PBE), using λ = 1.5418 Å (Cu Kα).
Peak positions follow from Bragg's law for the DFT cell and can differ from measured ones.

Largest 8 diffraction maxima, sorted by position, 15 to 90 degrees two-theta:
| h k l | Position (°2θ) | I/Imax |
| --- | --- | --- |
| 1 0 1 | 20.7 | 27.5 |
| 0 0 2 | 24.9 | 26.9 |
| 1 1 -1 | 25.1 | 83.2 |
| 1 1 -3 | 41.0 | 100.0 |
| 3 1 -1 | 41.2 | 98.8 |
| 0 2 0 | 42.1 | 94.5 |
| 2 2 2 | 61.1 | 30.9 |
| 3 3 -1 | 76.4 | 31.9 |

Structure:
Cell lengths 7.658, 4.287, 7.708 Å; angles 90.00, 112.05, 90.00 degrees
Space group P2/m (No. 10)
Inequivalent atoms, fractional coordinates:
Ga 0.114 0.000 0.388
Ga 0.123 0.500 0.870
Ga 0.367 0.500 0.622
Ga 0.368 0.000 0.132
Pd 0.257 0.000 0.757
Pd 0.500 0.500 0.000
Au 0.244 0.500 0.258

=====

(8)
The following is a calculated powder diffraction line list of GaPd4Au. It was derived from DFT lattice parameters and positions (PBE), using λ = 1.5418 Å (Cu Kα).
Peak positions follow from Bragg's law for the DFT cell and can differ from measured ones.

Largest 8 diffraction maxima, sorted by position, 15 to 90 degrees two-theta:
| h k l | Position (°2θ) | I/Imax |
| --- | --- | --- |
| 1 3 1 | 39.6 | 100.0 |
| 2 0 0 | 42.6 | 20.3 |
| 0 0 2 | 42.9 | 20.0 |
| 0 6 0 | 52.1 | 11.0 |
| 2 0 2 | 62.0 | 13.2 |
| 3 3 1 | 75.9 | 14.5 |
| 1 3 3 | 76.3 | 14.3 |
| 2 6 2 | 85.2 | 10.7 |

Structure:
Cell lengths 4.243, 10.539, 4.221 Å; angles 90.00, 90.00, 90.00 degrees
Space group Cmmm (No. 65)
Inequivalent atoms, fractional coordinates:
Ga 0.000 0.000 0.000
Pd 0.000 0.162 0.500
Pd 0.000 0.338 0.000
Au 0.000 0.500 0.500